Calculated X-ray diffraction stick pattern
Compound: Ac5Cd2Ge2
Radiation: Cu Kα
Structure: a GGA-PBE-relaxed structure

Crystal structure
Unit cell a=9.641 b=9.641 c=8.549 alpha=90.00 beta=90.00 gamma=51.93
Fractional positions:
Ac1 0.000 0.000 0.000
Ac2 0.020 0.677 0.665
Ac3 0.177 0.520 0.165
Ac4 0.323 0.980 0.665
Ac5 0.480 0.823 0.165
Ac6 0.500 0.500 0.500
Ac7 0.520 0.177 0.835
Ac8 0.677 0.020 0.335
Ac9 0.823 0.480 0.835
Ac10 0.980 0.323 0.335
Cd1 0.121 0.879 0.378
Cd2 0.379 0.621 0.878
Cd3 0.621 0.379 0.122
Cd4 0.879 0.121 0.622
Ge1 0.198 0.198 0.000
Ge2 0.302 0.302 0.500
Ge3 0.698 0.698 0.500
Ge4 0.802 0.802 0.000

Largest 6 diffraction maxima, in order of rising 2θ, 10° ≤ 2θ ≤ 90°:
two_theta	Rel. int.
23.5	35
28.0	100
31.0	46
31.4	50
33.6	37
33.9	38

***

Calculated X-ray diffraction stick pattern
Compound: Mg2CoP2Ir
Radiation: Cu Kα
Structure: a GGA-PBE-relaxed structure

Crystal structure
Unit cell a=7.116 b=7.116 c=7.116 alpha=134.51 beta=66.63 gamma=134.08
Fractional positions:
Mg1 0.168 0.248 0.415
Mg2 0.332 0.748 0.080
Mg3 0.668 0.252 0.920
Mg4 0.832 0.752 0.585
Co1 0.250 0.750 0.500
Co2 0.750 0.250 0.500
P1 0.113 0.725 0.838
P2 0.387 0.225 0.612
P3 0.613 0.775 0.388
P4 0.887 0.275 0.162
Ir1 0.250 0.250 0.000
Ir2 0.750 0.750 0.000

Largest 6 diffraction maxima, in order of rising 2θ, 10° ≤ 2θ ≤ 90°:
two_theta	Rel. int.
14.9	100
17.8	33
35.7	31
36.0	31
44.7	26
46.5	26

***

Calculated X-ray diffraction stick pattern
Compound: Pm2CuSb3Pt4
Radiation: Cu Kα
Structure: a GGA-PBE-relaxed structure

Crystal structure
Unit cell a=4.552 b=4.552 c=10.414 alpha=90.00 beta=90.00 gamma=90.00
Fractional positions:
Pm1 0.000 0.500 0.248
Pm2 0.500 0.000 0.752
Cu1 0.000 0.000 0.500
Sb1 0.000 0.500 0.865
Sb2 0.500 0.000 0.135
Sb3 0.500 0.500 0.500
Pt1 0.000 0.000 0.000
Pt2 0.000 0.500 0.619
Pt3 0.500 0.000 0.381
Pt4 0.500 0.500 0.000

Largest 6 diffraction maxima, in order of rising 2θ, 10° ≤ 2θ ≤ 90°:
two_theta	Rel. int.
32.4	72
32.7	100
39.6	88
44.8	44
52.1	38
57.2	30

***

Calculated X-ray diffraction stick pattern
Compound: La5Pm2Er3
Radiation: Cu Kα
Structure: a GGA-PBE-relaxed structure

Crystal structure
Unit cell a=10.138 b=10.138 c=10.138 alpha=123.40 beta=93.52 gamma=112.84
Fractional positions:
La1 0.003 0.750 0.253
La2 0.121 0.749 0.870
La3 0.250 0.250 0.000
La4 0.379 0.249 0.628
La5 0.497 0.750 0.747
La6 0.503 0.250 0.253
La7 0.621 0.751 0.372
La8 0.750 0.750 0.000
La9 0.879 0.251 0.130
La10 0.997 0.250 0.747
Pm1 0.119 0.401 0.520
Pm2 0.381 0.901 0.282
Pm3 0.619 0.099 0.718
Pm4 0.881 0.599 0.480
Er1 0.129 0.087 0.216
Er2 0.250 0.750 0.500
Er3 0.371 0.587 0.958
Er4 0.629 0.413 0.042
Er5 0.750 0.250 0.500
Er6 0.871 0.913 0.784

Largest 6 diffraction maxima, in order of rising 2θ, 10° ≤ 2θ ≤ 90°:
two_theta	Rel. int.
18.5	24
24.4	29
30.3	100
31.8	79
31.9	44
39.2	36

***

Calculated X-ray diffraction stick pattern
Compound: PmCo4C4
Radiation: Cu Kα
Structure: a GGA-PBE-relaxed structure

Crystal structure
Unit cell a=4.876 b=4.876 c=7.168 alpha=90.00 beta=90.00 gamma=90.00
Fractional positions:
Pm1 0.250 0.750 0.250
Pm2 0.750 0.250 0.750
Co1 0.004 0.750 0.606
Co2 0.250 0.504 0.894
Co3 0.250 0.996 0.894
Co4 0.496 0.750 0.606
Co5 0.504 0.250 0.394
Co6 0.750 0.004 0.106
Co7 0.750 0.496 0.106
Co8 0.996 0.250 0.394
C1 0.101 0.250 0.100
C2 0.250 0.101 0.600
C3 0.250 0.399 0.600
C4 0.399 0.250 0.100
C5 0.601 0.750 0.900
C6 0.750 0.601 0.400
C7 0.750 0.899 0.400
C8 0.899 0.750 0.900

Largest 6 diffraction maxima, in order of rising 2θ, 10° ≤ 2θ ≤ 90°:
two_theta	Rel. int.
25.8	30
36.1	37
39.0	38
42.1	74
43.4	100
76.7	22

***

Calculated X-ray diffraction stick pattern
Compound: NaY2TaO6
Radiation: Cu Kα
Structure: a GGA-PBE-relaxed structure

Crystal structure
Unit cell a=6.009 b=6.009 c=6.009 alpha=56.45 beta=56.45 gamma=56.45
Fractional positions:
Na1 0.000 0.000 0.000
Y1 0.274 0.274 0.274
Y2 0.778 0.778 0.778
Ta1 0.480 0.480 0.480
O1 0.110 0.651 0.406
O2 0.224 0.567 0.835
O3 0.406 0.110 0.651
O4 0.567 0.835 0.224
O5 0.651 0.406 0.110
O6 0.835 0.224 0.567

Largest 6 diffraction maxima, in order of rising 2θ, 10° ≤ 2θ ≤ 90°:
two_theta	Rel. int.
19.0	84
29.8	99
31.5	100
43.9	40
48.3	52
55.0	40

***

Calculated X-ray diffraction stick pattern
Compound: Sm2Tm2Bi3
Radiation: Cu Kα
Structure: a GGA-PBE-relaxed structure

Crystal structure
Unit cell a=14.228 b=4.522 c=7.449 alpha=90.00 beta=99.00 gamma=90.00
Fractional positions:
Sm1 0.123 0.000 0.350
Sm2 0.377 0.500 0.650
Sm3 0.623 0.500 0.350
Sm4 0.877 0.000 0.650
Tm1 0.116 0.500 0.888
Tm2 0.384 0.000 0.112
Tm3 0.616 0.000 0.888
Tm4 0.884 0.500 0.112
Bi1 0.000 0.500 0.500
Bi2 0.236 0.000 0.756
Bi3 0.264 0.500 0.244
Bi4 0.500 0.000 0.500
Bi5 0.736 0.500 0.756
Bi6 0.764 0.000 0.244

Largest 6 diffraction maxima, in order of rising 2θ, 10° ≤ 2θ ≤ 90°:
two_theta	Rel. int.
28.8	100
29.1	50
39.9	22
41.3	37
41.5	41
50.1	23

***

Calculated X-ray diffraction stick pattern
Compound: Ca3Hg4
Radiation: Cu Kα
Structure: a GGA-PBE-relaxed structure

Crystal structure
Unit cell a=9.225 b=9.225 c=9.225 alpha=33.13 beta=33.13 gamma=33.13
Fractional positions:
Ca1 0.000 0.000 0.000
Ca2 0.246 0.246 0.246
Ca3 0.754 0.754 0.754
Hg1 0.125 0.125 0.125
Hg2 0.372 0.372 0.372
Hg3 0.628 0.628 0.628
Hg4 0.875 0.875 0.875

Largest 6 diffraction maxima, in order of rising 2θ, 10° ≤ 2θ ≤ 90°:
two_theta	Rel. int.
23.8	100
33.8	80
34.1	79
42.0	24
48.7	29
60.8	29